For Mg6MnCuO8, the PBE+U geometry in the Materials Project gives the calculated powder diffractogram in this record (Cu Ka).
Lines closer than 0.1° are merged.

Structure:
```
Mg6MnCuO8
1.0
4.275 0.000 0.000
0.000 4.275 0.000
0.000 0.000 8.626
Mg Mn Cu O
6 1 1 8
Direct
0.000 0.000 0.000
0.000 0.000 0.500
0.000 0.500 0.244
0.000 0.500 0.756
0.500 0.000 0.244
0.500 0.000 0.756
0.500 0.500 0.500
0.500 0.500 0.000
0.000 0.000 0.250
0.000 0.000 0.750
0.000 0.500 0.000
0.000 0.500 0.500
0.500 0.000 0.000
0.500 0.000 0.500
0.500 0.500 0.254
0.500 0.500 0.746
```

Peak list (6 most intense, 2θ = 15–90°, in order of rising 2θ)
- 2θ 36.29, I = 41, hkl 1 1 2
- 2θ 41.89, I = 51, hkl 0 0 4
- 2θ 42.29, I = 100, hkl 2 0 0
- 2θ 61.04, I = 57, hkl 2 0 4
- 2θ 61.34, I = 28, hkl 2 2 0
- 2θ 77.06, I = 26, hkl 2 2 4

***

For MgMnSiO5, the PBE+U geometry in the Materials Project gives the calculated powder diffractogram in this record (Cu Ka).
Lines closer than 0.1° are merged.

Structure:
```
MgMnSiO5
1.0
5.232 0.000 0.000
-1.365 5.074 0.000
-1.717 -2.329 6.299
Mg Mn Si O
2 2 2 10
Direct
0.000 0.000 0.000
0.336 0.659 0.490
0.667 0.328 0.243
0.667 0.328 0.742
0.348 0.648 0.993
0.985 0.008 0.492
0.041 0.590 0.821
0.292 0.066 0.663
0.342 0.422 0.120
0.397 0.957 0.159
0.578 0.417 0.494
0.584 0.658 0.874
0.749 0.998 0.610
0.755 0.239 0.991
0.938 0.699 0.327
0.992 0.233 0.365
```

Peak list (6 most intense, 2θ = 15–90°, in order of rising 2θ)
- 2θ 18.65, I = 72, hkl 0 1 0
- 2θ 28.03, I = 74, hkl 0 1 -2
- 2θ 28.21, I = 65, hkl 1 0 -2
- 2θ 30.85, I = 77, hkl 1 1 0
- 2θ 35.62, I = 44, hkl 1 -1 2
- 2θ 35.89, I = 100, hkl -1 1 2

***

For Rb2TiFe2Mo6O24, the PBE+U geometry in the Materials Project gives the calculated powder diffractogram in this record (Cu Ka).
Lines closer than 0.1° are merged.

Structure:
```
Rb2TiFe2Mo6O24
1.0
8.602 0.000 0.000
-1.389 8.500 0.000
-1.380 -1.634 8.362
Rb Ti Fe Mo O
2 1 2 6 24
Direct
0.185 0.185 0.187
0.815 0.815 0.813
0.500 0.500 0.000
0.000 0.500 0.500
0.500 0.000 0.500
0.213 0.680 0.229
0.229 0.213 0.679
0.320 0.770 0.788
0.680 0.230 0.212
0.771 0.787 0.321
0.787 0.320 0.771
0.033 0.692 0.111
0.110 0.034 0.692
0.111 0.334 0.579
0.120 0.665 0.692
0.174 0.556 0.374
0.307 0.880 0.334
0.307 0.891 0.965
0.338 0.313 0.881
0.338 0.578 0.109
0.374 0.174 0.554
0.421 0.888 0.666
0.448 0.624 0.832
0.552 0.376 0.168
0.579 0.112 0.334
0.626 0.826 0.446
0.662 0.422 0.891
0.662 0.687 0.119
0.693 0.109 0.035
0.693 0.120 0.666
0.826 0.444 0.626
0.880 0.335 0.308
0.889 0.666 0.421
0.890 0.966 0.308
0.967 0.308 0.889
```

Peak list (6 most intense, 2θ = 15–90°, in order of rising 2θ)
- 2θ 21.29, I = 47, hkl 0 0 2
- 2θ 21.69, I = 24, hkl 1 1 1
- 2θ 25.63, I = 37, hkl 2 0 1
- 2θ 27.17, I = 100, hkl 2 0 -2
- 2θ 32.16, I = 17, hkl 2 -1 2
- 2θ 48.02, I = 17, hkl 2 -4 2

***

For LiFe4B4O12, the PBE+U geometry in the Materials Project gives the calculated powder diffractogram in this record (Cu Ka).
Lines closer than 0.1° are merged.

Structure:
```
LiFe4B4O12
1.0
5.324 0.000 0.000
-0.017 9.022 0.000
-2.498 -4.476 10.072
Li Fe B O
2 8 8 24
Direct
0.000 0.000 0.000
0.329 0.633 0.257
0.026 0.676 0.027
0.088 0.068 0.777
0.277 0.609 0.531
0.328 0.991 0.280
0.527 0.201 0.034
0.581 0.572 0.785
0.779 0.112 0.528
0.831 0.490 0.284
0.043 0.354 0.036
0.079 0.732 0.783
0.286 0.945 0.526
0.326 0.320 0.281
0.528 0.866 0.030
0.579 0.234 0.782
0.787 0.450 0.536
0.821 0.823 0.282
0.000 0.883 0.805
0.062 0.816 0.248
0.073 0.998 0.581
0.137 0.198 0.983
0.179 0.491 0.058
0.210 0.188 0.284
0.238 0.475 0.332
0.294 0.687 0.730
0.299 0.881 0.077
0.373 0.801 0.515
0.401 0.048 0.483
0.462 0.135 0.829
0.488 0.374 0.788
0.534 0.310 0.224
0.567 0.499 0.585
0.627 0.718 0.983
0.649 0.000 0.028
0.694 0.690 0.277
0.714 0.973 0.324
0.792 0.178 0.729
0.812 0.356 0.073
0.878 0.308 0.529
0.907 0.551 0.494
0.957 0.629 0.821
```

Peak list (6 most intense, 2θ = 15–90°, in order of rising 2θ)
- 2θ 19.68, I = 91, hkl 0 2 -1
- 2θ 21.40, I = 100, hkl -1 1 1
- 2θ 21.58, I = 62, hkl 0 2 0
- 2θ 26.11, I = 78, hkl 1 -1 2
- 2θ 34.25, I = 69, hkl 1 3 -2
- 2θ 35.66, I = 93, hkl 0 0 4